[1]
Ba2Mn2O5: theoretical powder diffraction line list (a wavelength of 1.5418 Å), based on a DFT-relaxed cell (PBE+U, Alexandria).
Peak positions follow from Bragg's law for the DFT cell and can differ from measured ones.

Crystal structure
a b c (Å): 9.298 9.298 9.298
angles (deg): 52.58 143.47 143.53
Sites, in units of the cell vectors:
1 Ba 0.001 0.113 0.114
2 Ba 0.001 0.387 0.389
3 Ba 0.999 0.613 0.611
4 Ba 0.999 0.887 0.886
5 Mn 0.427 0.733 0.195
6 Mn 0.500 0.000 0.500
7 Mn 0.500 0.500 0.000
8 Mn 0.538 0.233 0.805
9 O 0.000 0.252 0.755
10 O 0.000 0.745 0.248
11 O 0.008 0.433 0.074
12 O 0.359 0.933 0.926
13 O 0.476 0.150 0.608
14 O 0.476 0.367 0.825
15 O 0.496 0.245 0.245
16 O 0.496 0.752 0.752
17 O 0.542 0.650 0.175
18 O 0.542 0.867 0.392

Peak list (6 most intense, 10 to 90 degrees two-theta, in order of rising 2θ)
- 30.52°, I 100
- 30.71°, I 59
- 37.68°, I 25
- 43.98°, I 31
- 54.12°, I 16
- 54.48°, I 38

[2]
BaMn3P3O12: theoretical powder diffraction line list (a wavelength of 1.5418 Å), based on a DFT-relaxed cell (PBE+U, Alexandria).
Peak positions follow from Bragg's law for the DFT cell and can differ from measured ones.

Crystal structure
a b c (Å): 9.461 9.461 9.461
angles (deg): 112.21 83.19 137.78
Sites, in units of the cell vectors:
1 Ba 0.365 0.115 0.250
2 Ba 0.635 0.885 0.750
3 Mn 0.000 0.500 0.500
4 Mn 0.118 0.000 0.618
5 Mn 0.118 0.500 0.118
6 Mn 0.500 0.500 0.000
7 Mn 0.882 0.000 0.382
8 Mn 0.882 0.500 0.882
9 P 0.148 0.398 0.750
10 P 0.321 0.000 0.821
11 P 0.321 0.500 0.321
12 P 0.679 0.000 0.179
13 P 0.679 0.500 0.679
14 P 0.852 0.602 0.250
15 O 0.007 0.139 0.632
16 O 0.007 0.375 0.868
17 O 0.184 0.524 0.660
18 O 0.199 0.562 0.359
19 O 0.199 0.840 0.637
20 O 0.203 0.283 0.341
21 O 0.203 0.861 0.919
22 O 0.297 0.160 0.859
23 O 0.297 0.438 0.137
24 O 0.364 0.524 0.840
25 O 0.442 0.283 0.581
26 O 0.442 0.861 0.159
27 O 0.558 0.139 0.841
28 O 0.558 0.717 0.419
29 O 0.636 0.476 0.160
30 O 0.703 0.562 0.863
31 O 0.703 0.840 0.141
32 O 0.797 0.139 0.081
33 O 0.797 0.717 0.659
34 O 0.801 0.160 0.363
35 O 0.801 0.438 0.641
36 O 0.816 0.476 0.340
37 O 0.993 0.625 0.132
38 O 0.993 0.861 0.368

Peak list (6 most intense, 10 to 90 degrees two-theta, in order of rising 2θ)
- 19.95°, I 67
- 21.00°, I 50
- 28.23°, I 47
- 30.42°, I 100
- 31.26°, I 57
- 33.98°, I 36

[3]
Ba2PaMn2O6: theoretical powder diffraction line list (a wavelength of 1.5418 Å), based on a DFT-relaxed cell (PBE+U, Alexandria).
Peak positions follow from Bragg's law for the DFT cell and can differ from measured ones.

Crystal structure
a b c (Å): 6.211 6.211 6.962
angles (deg): 117.38 117.38 59.61
Sites, in units of the cell vectors:
1 Ba 0.214 0.214 0.168
2 Ba 0.786 0.786 0.832
3 Pa 0.000 0.000 0.500
4 Mn 0.443 0.443 0.760
5 Mn 0.557 0.557 0.240
6 O 0.177 0.696 0.226
7 O 0.224 0.224 0.582
8 O 0.304 0.823 0.774
9 O 0.696 0.177 0.226
10 O 0.776 0.776 0.418
11 O 0.823 0.304 0.774

Peak list (6 most intense, 10 to 90 degrees two-theta, in order of rising 2θ)
- 17.33°, I 35
- 26.21°, I 55
- 28.75°, I 100
- 28.92°, I 50
- 30.13°, I 83
- 42.47°, I 31

[4]
RbBaMnO4: theoretical powder diffraction line list (a wavelength of 1.5418 Å), based on a DFT-relaxed cell (PBE+U, Alexandria).
Peak positions follow from Bragg's law for the DFT cell and can differ from measured ones.

Crystal structure
a b c (Å): 8.017 5.980 10.505
angles (deg): 90.00 90.00 90.00
Sites, in units of the cell vectors:
1 Rb 0.156 0.250 0.082
2 Rb 0.344 0.750 0.582
3 Rb 0.656 0.250 0.418
4 Rb 0.844 0.750 0.918
5 Ba 0.002 0.750 0.308
6 Ba 0.498 0.250 0.808
7 Ba 0.502 0.750 0.192
8 Ba 0.998 0.250 0.692
9 Mn 0.228 0.250 0.415
10 Mn 0.272 0.750 0.915
11 Mn 0.728 0.250 0.085
12 Mn 0.772 0.750 0.585
13 O 0.015 0.250 0.424
14 O 0.195 0.750 0.069
15 O 0.209 0.512 0.837
16 O 0.209 0.988 0.837
17 O 0.291 0.012 0.337
18 O 0.291 0.488 0.337
19 O 0.305 0.250 0.569
20 O 0.485 0.750 0.924
21 O 0.515 0.250 0.076
22 O 0.695 0.750 0.431
23 O 0.709 0.512 0.663
24 O 0.709 0.988 0.663
25 O 0.791 0.012 0.163
26 O 0.791 0.488 0.163
27 O 0.805 0.250 0.931
28 O 0.985 0.750 0.576

Peak list (6 most intense, 10 to 90 degrees two-theta, in order of rising 2θ)
- 25.15°, I 60
- 28.00°, I 33
- 28.11°, I 100
- 29.56°, I 76
- 29.88°, I 67
- 41.41°, I 33

[5]
Ba2MnReO6: theoretical powder diffraction line list (a wavelength of 1.5418 Å), based on a DFT-relaxed cell (PBE+U, Alexandria).
Peak positions follow from Bragg's law for the DFT cell and can differ from measured ones.

Crystal structure
a b c (Å): 10.281 10.281 10.281
angles (deg): 33.48 33.48 33.48
Sites, in units of the cell vectors:
1 Ba 0.129 0.129 0.129
2 Ba 0.282 0.282 0.282
3 Ba 0.718 0.718 0.718
4 Ba 0.871 0.871 0.871
5 Mn 0.405 0.405 0.405
6 Mn 0.595 0.595 0.595
7 Re 0.000 0.000 0.000
8 Re 0.500 0.500 0.500
9 O 0.151 0.616 0.616
10 O 0.193 0.193 0.729
11 O 0.193 0.729 0.193
12 O 0.271 0.807 0.807
13 O 0.384 0.384 0.849
14 O 0.384 0.849 0.384
15 O 0.616 0.151 0.616
16 O 0.616 0.616 0.151
17 O 0.729 0.193 0.193
18 O 0.807 0.271 0.807
19 O 0.807 0.807 0.271
20 O 0.849 0.384 0.384

Peak list (6 most intense, 10 to 90 degrees two-theta, in order of rising 2θ)
- 18.33°, I 16
- 27.63°, I 25
- 30.16°, I 100
- 35.49°, I 16
- 41.37°, I 18
- 47.22°, I 17

[6]
BaSc4Mn3O12: theoretical powder diffraction line list (a wavelength of 1.5418 Å), based on a DFT-relaxed cell (PBE+U, Alexandria).
Peak positions follow from Bragg's law for the DFT cell and can differ from measured ones.

Crystal structure
a b c (Å): 6.801 6.801 6.801
angles (deg): 109.47 109.47 109.47
Sites, in units of the cell vectors:
1 Ba 0.000 0.000 0.000
2 Sc 0.000 0.000 0.500
3 Sc 0.000 0.500 0.000
4 Sc 0.500 0.000 0.000
5 Sc 0.500 0.500 0.500
6 Mn 0.000 0.500 0.500
7 Mn 0.500 0.000 0.500
8 Mn 0.500 0.500 0.000
9 O 0.149 0.830 0.319
10 O 0.170 0.319 0.489
11 O 0.170 0.681 0.851
12 O 0.319 0.149 0.830
13 O 0.319 0.489 0.170
14 O 0.489 0.170 0.319
15 O 0.511 0.830 0.681
16 O 0.681 0.511 0.830
17 O 0.681 0.851 0.170
18 O 0.830 0.319 0.149
19 O 0.830 0.681 0.511
20 O 0.851 0.170 0.681

Peak list (6 most intense, 10 to 90 degrees two-theta, in order of rising 2θ)
- 32.24°, I 100
- 36.17°, I 16
- 43.10°, I 14
- 46.24°, I 25
- 57.49°, I 52
- 76.75°, I 17

[7]
BaMnSeO2: theoretical powder diffraction line list (a wavelength of 1.5418 Å), based on a DFT-relaxed cell (PBE+U, Alexandria).
Peak positions follow from Bragg's law for the DFT cell and can differ from measured ones.

Crystal structure
a b c (Å): 7.932 7.932 5.549
angles (deg): 90.00 90.00 136.63
Sites, in units of the cell vectors:
1 Ba 0.112 0.888 0.750
2 Ba 0.888 0.112 0.250
3 Mn 0.490 0.510 0.750
4 Mn 0.510 0.490 0.250
5 Se 0.258 0.742 0.250
6 Se 0.742 0.258 0.750
7 O 0.278 0.278 0.000
8 O 0.278 0.278 0.500
9 O 0.722 0.722 0.000
10 O 0.722 0.722 0.500

Peak list (6 most intense, 10 to 90 degrees two-theta, in order of rising 2θ)
- 20.03°, I 49
- 23.63°, I 28
- 28.65°, I 100
- 30.50°, I 29
- 34.04°, I 31
- 44.99°, I 30

[8]
Ba2SrMn2O6: theoretical powder diffraction line list (a wavelength of 1.5418 Å), based on a DFT-relaxed cell (PBE+U, Alexandria).
Peak positions follow from Bragg's law for the DFT cell and can differ from measured ones.

Crystal structure
a b c (Å): 7.287 7.287 7.287
angles (deg): 48.76 48.76 48.76
Sites, in units of the cell vectors:
1 Ba 0.209 0.209 0.209
2 Ba 0.791 0.791 0.791
3 Sr 0.000 0.000 0.000
4 Mn 0.418 0.418 0.418
5 Mn 0.582 0.582 0.582
6 O 0.240 0.739 0.739
7 O 0.261 0.261 0.760
8 O 0.261 0.760 0.261
9 O 0.739 0.240 0.739
10 O 0.739 0.739 0.240
11 O 0.760 0.261 0.261

Peak list (6 most intense, 10 to 90 degrees two-theta, in order of rising 2θ)
- 28.87°, I 100
- 29.70°, I 94
- 41.89°, I 43
- 52.19°, I 37
- 52.70°, I 19
- 61.67°, I 18

[9]
BaSrMn4O12: theoretical powder diffraction line list (a wavelength of 1.5418 Å), based on a DFT-relaxed cell (PBE+U, Alexandria).
Peak positions follow from Bragg's law for the DFT cell and can differ from measured ones.

Crystal structure
a b c (Å): 5.444 5.444 7.700
angles (deg): 90.00 90.00 90.00
Sites, in units of the cell vectors:
1 Ba 0.000 0.000 0.000
2 Sr 0.500 0.500 0.500
3 Mn 0.000 0.500 0.251
4 Mn 0.000 0.500 0.749
5 Mn 0.500 0.000 0.251
6 Mn 0.500 0.000 0.749
7 O 0.000 0.500 0.000
8 O 0.000 0.500 0.500
9 O 0.254 0.254 0.258
10 O 0.254 0.254 0.742
11 O 0.254 0.746 0.258
12 O 0.254 0.746 0.742
13 O 0.500 0.000 0.000
14 O 0.500 0.000 0.500
15 O 0.746 0.254 0.258
16 O 0.746 0.254 0.742
17 O 0.746 0.746 0.258
18 O 0.746 0.746 0.742

Peak list (6 most intense, 10 to 90 degrees two-theta, in order of rising 2θ)
- 19.97°, I 79
- 32.90°, I 100
- 38.79°, I 43
- 47.22°, I 48
- 58.75°, I 38
- 69.00°, I 27

[10]
Ba4Sr3MnO8: theoretical powder diffraction line list (a wavelength of 1.5418 Å), based on a DFT-relaxed cell (PBE+U, Alexandria).
Peak positions follow from Bragg's law for the DFT cell and can differ from measured ones.

Crystal structure
a b c (Å): 7.510 7.510 7.598
angles (deg): 120.02 120.02 61.05
Sites, in units of the cell vectors:
1 Ba 0.000 0.000 0.000
2 Ba 0.000 0.500 0.000
3 Ba 0.500 0.000 0.000
4 Ba 0.500 0.500 0.000
5 Sr 0.000 0.000 0.500
6 Sr 0.000 0.500 0.500
7 Sr 0.500 0.000 0.500
8 Mn 0.500 0.500 0.500
9 O 0.239 0.749 0.738
10 O 0.244 0.244 0.733
11 O 0.251 0.761 0.262
12 O 0.282 0.282 0.292
13 O 0.718 0.718 0.708
14 O 0.749 0.239 0.738
15 O 0.756 0.756 0.267
16 O 0.761 0.251 0.262

Peak list (6 most intense, 10 to 90 degrees two-theta, in order of rising 2θ)
- 28.89°, I 100
- 29.09°, I 32
- 33.29°, I 87
- 34.05°, I 40
- 48.21°, I 28
- 48.50°, I 28

[11]
BaSr2MnO4: theoretical powder diffraction line list (a wavelength of 1.5418 Å), based on a DFT-relaxed cell (PBE+U, Alexandria).
Peak positions follow from Bragg's law for the DFT cell and can differ from measured ones.

Crystal structure
a b c (Å): 6.438 6.438 12.565
angles (deg): 90.00 90.00 146.92
Sites, in units of the cell vectors:
1 Ba 0.110 0.890 0.750
2 Ba 0.890 0.110 0.250
3 Sr 0.370 0.630 0.543
4 Sr 0.370 0.630 0.957
5 Sr 0.630 0.370 0.043
6 Sr 0.630 0.370 0.457
7 Mn 0.159 0.841 0.250
8 Mn 0.841 0.159 0.750
9 O 0.000 0.000 0.000
10 O 0.000 0.000 0.500
11 O 0.265 0.735 0.125
12 O 0.265 0.735 0.375
13 O 0.430 0.570 0.750
14 O 0.570 0.430 0.250
15 O 0.735 0.265 0.625
16 O 0.735 0.265 0.875

Peak list (6 most intense, 10 to 90 degrees two-theta, in order of rising 2θ)
- 25.71°, I 57
- 28.41°, I 48
- 28.94°, I 51
- 29.12°, I 100
- 33.51°, I 53
- 35.79°, I 91